1.
This entry pairs a crystal structure of LaTb2Pr4Dy2 with its computed powder XRD pattern. Radiation: a wavelength of 1.5418 Å. Structure: a DFT-relaxed cell (GGA-PBE, Alexandria).
No peak broadening, texture or thermal motion is included.

Crystal structure
```
9
Lattice="7.734 -2.579 0.000 7.734 2.579 0.000 -2.545 0.000 7.738" Properties=species:S:1:pos:R:3 pbc="T T T"
La 0.000 0.000 0.000
Tb 0.026 0.000 5.161
Tb 12.896 0.000 2.577
Pr 2.607 0.000 2.560
Pr 5.192 0.000 5.161
Pr 7.730 0.000 2.577
Pr 10.315 0.000 5.178
Dy 5.118 0.000 0.012
Dy 7.805 0.000 7.725
```

Main lines, in order of rising 2θ (2θ from 10° to 90°):
- 2θ = 30.01°, I = 100
- 2θ = 34.79°, I = 51
- 2θ = 50.02°, I = 24
- 2θ = 59.38°, I = 22
- 2θ = 59.50°, I = 21
- 2θ = 62.27°, I = 6
- 2θ = 62.47°, I = 6
- 2θ = 83.90°, I = 11

---

2.
This entry pairs a crystal structure of Na2HfInO4 with its computed powder XRD pattern. Radiation: a wavelength of 1.5418 Å. Structure: a DFT-relaxed cell (GGA-PBE, Alexandria).
No peak broadening, texture or thermal motion is included.

Crystal structure
```
8
Lattice="5.968 0.000 0.000 0.000 3.261 0.000 -2.213 0.000 5.623" Properties=species:S:1:pos:R:3 pbc="T T T"
Na 0.000 0.000 0.000
Na -1.107 1.630 2.811
Hf 1.877 0.000 2.811
In 2.984 1.630 0.000
O 1.086 1.630 1.647
O 0.176 0.000 4.043
O 3.578 0.000 1.580
O 2.669 1.630 3.976
```

Main lines, in order of rising 2θ (2θ from 10° to 90°):
- 2θ = 15.96°, I = 100
- 2θ = 31.72°, I = 32
- 2θ = 31.83°, I = 24
- 2θ = 32.24°, I = 21
- 2θ = 32.86°, I = 39
- 2θ = 36.20°, I = 30
- 2θ = 38.35°, I = 54
- 2θ = 53.49°, I = 18

---

3.
This entry pairs a crystal structure of Ca3Fe3N5 with its computed powder XRD pattern. Radiation: a wavelength of 1.5418 Å. Structure: a DFT-relaxed cell (GGA-PBE, Alexandria).
No peak broadening, texture or thermal motion is included.

Crystal structure
```
22
Lattice="5.525 0.000 0.000 -0.578 6.745 0.000 -2.096 -2.814 7.547" Properties=species:S:1:pos:R:3 pbc="T T T"
Ca 0.353 0.569 1.519
Ca -1.162 0.033 6.610
Ca -0.064 4.446 4.629
Ca 2.915 -0.515 2.918
Ca 4.013 3.898 0.938
Ca 2.498 3.363 6.029
Fe -0.410 1.428 4.263
Fe 1.223 3.329 2.219
Fe -0.251 2.810 7.353
Fe 3.102 1.122 0.195
Fe 1.627 0.603 5.328
Fe 3.261 2.503 3.284
N -0.404 2.700 2.879
N -0.541 -2.310 6.850
N 0.926 4.573 0.901
N 0.609 -0.070 3.842
N 0.412 1.967 5.868
N 2.439 1.964 1.679
N 2.242 4.002 3.705
N 1.925 -0.641 6.647
N 3.391 6.241 0.697
N 3.255 1.232 4.669
```

Main lines, in order of rising 2θ (2θ from 10° to 90°):
- 2θ = 14.01°, I = 37
- 2θ = 31.11°, I = 42
- 2θ = 33.50°, I = 74
- 2θ = 34.38°, I = 93
- 2θ = 34.51°, I = 41
- 2θ = 34.69°, I = 100
- 2θ = 34.80°, I = 32
- 2θ = 39.41°, I = 33

---

4.
This entry pairs a crystal structure of UAlIn2 with its computed powder XRD pattern. Radiation: a wavelength of 1.5418 Å. Structure: a DFT-relaxed cell (GGA-PBE, Alexandria).
No peak broadening, texture or thermal motion is included.

Crystal structure
```
4
Lattice="4.461 0.000 0.000 0.000 4.461 0.000 0.000 0.000 4.643" Properties=species:S:1:pos:R:3 pbc="T T T"
U 0.000 0.000 0.000
Al 2.231 2.231 0.000
In 0.000 2.231 2.321
In 2.231 0.000 2.321
```

Main lines, in order of rising 2θ (2θ from 10° to 90°):
- 2θ = 19.90°, I = 31
- 2θ = 27.73°, I = 29
- 2θ = 34.37°, I = 100
- 2θ = 38.79°, I = 18
- 2θ = 40.44°, I = 32
- 2θ = 57.28°, I = 23
- 2θ = 67.40°, I = 14
- 2θ = 69.66°, I = 26

---

5.
This entry pairs a crystal structure of Sc3Zn2Pd6 with its computed powder XRD pattern. Radiation: a wavelength of 1.5418 Å. Structure: a DFT-relaxed cell (GGA-PBE, Alexandria).
No peak broadening, texture or thermal motion is included.

Crystal structure
```
22
Lattice="-4.648 4.648 4.648 4.648 -4.648 4.648 4.648 4.648 -4.648" Properties=species:S:1:pos:R:3 pbc="T T T"
Sc 2.831 0.000 0.000
Sc 6.464 0.000 0.000
Sc 0.000 2.831 0.000
Sc 0.000 0.000 2.831
Sc 0.000 6.464 0.000
Sc 0.000 0.000 6.464
Zn 2.324 2.324 -2.324
Zn 2.324 -2.324 2.324
Zn -2.324 2.324 2.324
Zn 2.324 2.324 2.324
Pd 4.648 1.486 -1.486
Pd 4.648 -1.486 1.486
Pd 4.648 1.486 1.486
Pd 1.486 4.648 -1.486
Pd 3.162 3.162 0.000
Pd 1.486 -1.486 4.648
Pd 3.162 0.000 3.162
Pd -1.486 4.648 1.486
Pd 1.486 4.648 1.486
Pd -1.486 1.486 4.648
Pd 1.486 1.486 4.648
Pd 0.000 3.162 3.162
```

Main lines, in order of rising 2θ (2θ from 10° to 90°):
- 2θ = 13.47°, I = 60
- 2θ = 23.44°, I = 12
- 2θ = 36.15°, I = 25
- 2θ = 41.20°, I = 100
- 2θ = 43.54°, I = 23
- 2θ = 50.03°, I = 12
- 2θ = 75.09°, I = 29
- 2θ = 89.45°, I = 12

---

6.
This entry pairs a crystal structure of Sr3LiBiO6 with its computed powder XRD pattern. Radiation: a wavelength of 1.5418 Å. Structure: a DFT-relaxed cell (GGA-PBE, Alexandria).
No peak broadening, texture or thermal motion is included.

Crystal structure
```
22
Lattice="4.831 -5.056 0.000 4.831 5.056 0.000 -0.423 0.000 6.963" Properties=species:S:1:pos:R:3 pbc="T T T"
Sr 4.620 4.273 3.481
Sr 2.980 0.970 2.445
Sr 2.769 -0.970 5.926
Sr 5.960 0.782 4.891
Sr 6.172 -0.782 1.410
Sr 4.831 -4.273 0.000
Li 2.761 2.811 5.933
Li 2.972 -2.811 2.452
Bi 5.502 2.528 0.703
Bi 5.291 -2.528 4.184
O 3.663 3.591 0.977
O 1.542 0.747 4.669
O 5.039 3.125 5.619
O 1.754 -0.747 1.188
O 4.418 0.748 0.220
O 5.548 1.931 2.751
O 4.206 -0.748 3.701
O 7.340 1.463 0.430
O 3.452 -3.591 4.458
O 5.336 -1.931 6.232
O 5.250 -3.125 2.138
O 7.129 -1.463 3.912
```

Main lines, in order of rising 2θ (2θ from 10° to 90°):
- 2θ = 18.39°, I = 94
- 2θ = 25.55°, I = 30
- 2θ = 29.14°, I = 50
- 2θ = 30.69°, I = 100
- 2θ = 31.18°, I = 30
- 2θ = 41.50°, I = 31
- 2θ = 42.81°, I = 24
- 2θ = 50.68°, I = 29